The following is a simulated PXRD pattern of NdTeAuO. It was derived from a crystal structure in OQMD, relaxed with PBE, using a wavelength of 1.5418 Å.

a = 5.862 Å, b = 5.864 Å, c = 10.057 Å
α = 90.00°, β = 90.00°, γ = 90.00°
Fractional coordinates of all 16 atoms:
Nd 0.000 0.000 0.000
Nd 0.000 0.500 0.229
Nd 0.500 0.000 0.229
Nd 0.500 0.500 0.000
Te 0.000 0.000 0.407
Te 0.000 0.500 0.820
Te 0.500 0.000 0.820
Te 0.500 0.500 0.407
Au 0.227 0.214 0.618
Au 0.273 0.714 0.618
Au 0.727 0.286 0.618
Au 0.773 0.786 0.618
O 0.249 0.249 0.114
O 0.251 0.749 0.114
O 0.749 0.251 0.114
O 0.751 0.751 0.114

Largest 10 diffraction maxima, by intensity, 10° ≤ 2θ ≤ 90°:
35.44°, rel. 100
27.89°, rel. 86
31.80°, rel. 84
43.67°, rel. 62
34.41°, rel. 49
47.65°, rel. 37
64.56°, rel. 31
52.61°, rel. 30
45.08°, rel. 26
17.64°, rel. 24